No. 1
Pm2B6Os3: theoretical powder diffraction line list (Cu Kα), based on a DFT-relaxed cell (GGA-PBE, Alexandria).
Lines closer than 0.1° are merged.

Principal peaks in the range 2θ from 10° to 80°, low angle first:
- 2θ 14.7, d 6.018, I = 24
- 2θ 19.7, d 4.510, I = 17
- 2θ 23.7, d 3.754, I = 23
- 2θ 29.7, d 3.009, I = 26
- 2θ 31.8, d 2.818, I = 19
- 2θ 38.3, d 2.348, I = 100
- 2θ 40.0, d 2.255, I = 19
- 2θ 42.5, d 2.127, I = 20

Crystal structure
```
data_Pm2B6Os3
_chemical_formula_sum 'Pm2 B6 Os3'
_cell_length_a 6.054
_cell_length_b 6.054
_cell_length_c 3.754
_cell_angle_alpha 90.00
_cell_angle_beta 90.00
_cell_angle_gamma 96.29
_symmetry_space_group_name_H-M 'P 1'
_symmetry_Int_Tables_number 1
loop_
_symmetry_equiv_pos_as_xyz
'x,y,z'
loop_
_atom_site_label
_atom_site_type_symbol
_atom_site_fract_x
_atom_site_fract_y
_atom_site_fract_z
Pm1 Pm 0.220 0.780 0.000
Pm2 Pm 0.780 0.220 0.000
B1 B 0.111 0.414 0.500
B2 B 0.112 0.112 0.500
B3 B 0.414 0.111 0.500
B4 B 0.586 0.889 0.500
B5 B 0.888 0.888 0.500
B6 B 0.889 0.586 0.500
Os1 Os 0.276 0.276 0.000
Os2 Os 0.500 0.500 0.500
Os3 Os 0.724 0.724 0.000
```


No. 2
LaDy7Ho2: theoretical powder diffraction line list (Cu Kα), based on a DFT-relaxed cell (GGA-PBE, Alexandria).
Lines closer than 0.1° are merged.

Principal peaks in the range 2θ from 10° to 80°, low angle first:
- 2θ 30.3, d 2.945, I = 26
- 2θ 31.8, d 2.812, I = 100
- 2θ 32.0, d 2.795, I = 64
- 2θ 37.5, d 2.401, I = 13
- 2θ 44.6, d 2.033, I = 18
- 2θ 56.7, d 1.623, I = 18
- 2θ 57.8, d 1.594, I = 14
- 2θ 62.4, d 1.489, I = 29

Crystal structure
```
data_LaDy7Ho2
_chemical_formula_sum 'La1 Dy7 Ho2'
_cell_length_a 8.770
_cell_length_b 8.770
_cell_length_c 7.019
_cell_angle_alpha 101.45
_cell_angle_beta 101.45
_cell_angle_gamma 37.36
_symmetry_space_group_name_H-M 'P 1'
_symmetry_Int_Tables_number 1
loop_
_symmetry_equiv_pos_as_xyz
'x,y,z'
loop_
_atom_site_label
_atom_site_type_symbol
_atom_site_fract_x
_atom_site_fract_y
_atom_site_fract_z
La1 La 0.000 0.000 0.000
Dy1 Dy 0.000 0.000 0.500
Dy2 Dy 0.212 0.212 0.358
Dy3 Dy 0.400 0.400 0.203
Dy4 Dy 0.401 0.401 0.697
Dy5 Dy 0.599 0.599 0.303
Dy6 Dy 0.600 0.600 0.797
Dy7 Dy 0.788 0.788 0.642
Ho1 Ho 0.214 0.214 0.855
Ho2 Ho 0.786 0.786 0.145
```